No. 1
The following is a computed X-ray diffraction stick pattern of Mn2Ag14Se9. It was derived from a crystal structure in Alexandria, relaxed with GGA-PBE, using a wavelength of 1.5418 Å.

Largest 10 diffraction maxima, by angle, 2θ = 5–70°:
d = 6.729 Å, I 49, hkl 1 0 0
d = 3.885 Å, I 41, hkl 1 1 0
d = 3.661 Å, I 240, hkl 0 0 3
d = 3.171 Å, I 254, hkl 1 1 2
d = 2.868 Å, I 40, hkl 0 2 2
d = 2.242 Å, I 1000, hkl 2 -1 4
d = 1.912 Å, I 102, hkl 0 3 3
d = 1.831 Å, I 58, hkl 0 0 6
d = 1.586 Å, I 146, hkl 2 2 4
d = 1.418 Å, I 63, hkl 3 0 6

```
data_Mn2Ag14Se9
_chemical_formula_sum 'Mn2 Ag14 Se9'
_symmetry_space_group_name_H-M 'P -3'
_symmetry_Int_Tables_number 147
_cell_length_a 7.7700
_cell_length_b 7.7700
_cell_length_c 10.9774
_cell_angle_alpha 90.00
_cell_angle_beta 90.00
_cell_angle_gamma 120.00
loop_
_symmetry_equiv_pos_as_xyz
'x,y,z'
'-x,-y,-z'
'-y,x-y,z'
'y,-x+y,-z'
'-x+y,-x,z'
'x-y,x,-z'
loop_
_atom_site_label
_atom_site_fract_x
_atom_site_fract_y
_atom_site_fract_z
Mn1 0.3333 0.6667 0.2638
Ag1 0.0000 0.0000 0.2520
Ag2 0.0080 0.6945 0.4165
Ag3 0.0336 0.6810 0.9189
Se1 0.0000 0.0000 0.0000
Se2 0.0024 0.3553 0.3279
Se3 0.3333 0.6667 0.0317
```

No. 2
The following is a computed X-ray diffraction stick pattern of NaLa4Al3O12. It was derived from a crystal structure in Alexandria, relaxed with GGA-PBE, using a wavelength of 1.5418 Å.

Largest 7 diffraction maxima, by angle, 2θ = 5–70°:
d = 3.883 Å, I 473, hkl 2 0 0
d = 2.746 Å, I 1000, hkl 2 2 0
d = 2.242 Å, I 433, hkl 2 2 2
d = 1.942 Å, I 362, hkl 4 0 0
d = 1.737 Å, I 225, hkl 4 2 0
d = 1.585 Å, I 389, hkl 4 2 2
d = 1.373 Å, I 212, hkl 4 4 0

```
data_NaLa4Al3O12
_chemical_formula_sum 'Na2 La8 Al6 O24'
_symmetry_space_group_name_H-M 'I m -3 m'
_symmetry_Int_Tables_number 229
_symmetry_space_group_name_Hall '-I 4 2 3'
_cell_length_a 7.7670
_cell_length_b 7.7670
_cell_length_c 7.7670
_cell_angle_alpha 90.00
_cell_angle_beta 90.00
_cell_angle_gamma 90.00
loop_
_atom_site_label
_atom_site_fract_x
_atom_site_fract_y
_atom_site_fract_z
Na1 0.0000 0.0000 0.0000
La1 0.2500 0.2500 0.2500
Al1 0.0000 0.0000 0.5000
O1 0.0000 0.0000 0.2693
O2 0.0000 0.2500 0.5000
```

No. 3
The following is a computed X-ray diffraction stick pattern of HSeF4. It was derived from a crystal structure in Alexandria, relaxed with GGA-PBE, using a wavelength of 1.5418 Å.

Largest 10 diffraction maxima, by angle, 2θ = 5–70°:
d = 4.145 Å, I 674, hkl 1 0 1
d = 4.052 Å, I 1000, hkl 1 1 0
d = 3.806 Å, I 911, hkl 0 1 1
d = 3.261 Å, I 336, hkl 1 1 1
d = 3.160 Å, I 293, hkl 2 0 0
d = 2.432 Å, I 749, hkl 2 1 1
d = 2.379 Å, I 353, hkl 0 2 1
d = 2.273 Å, I 349, hkl 1 1 2
d = 2.227 Å, I 210, hkl 1 2 1
d = 1.759 Å, I 205, hkl 1 0 3

```
data_HSeF4
_chemical_formula_sum 'H2 Se2 F8'
_symmetry_space_group_name_H-M 'P m n 21'
_symmetry_Int_Tables_number 31
_cell_length_a 6.3197
_cell_length_b 5.2804
_cell_length_c 5.4914
_cell_angle_alpha 90.00
_cell_angle_beta 90.00
_cell_angle_gamma 90.00
loop_
_symmetry_equiv_pos_as_xyz
'x,y,z'
'-x+1/2,-y,z+1/2'
'-x,y,z'
'x+1/2,-y,z+1/2'
loop_
_atom_site_label
_atom_site_fract_x
_atom_site_fract_y
_atom_site_fract_z
H1 0.0000 0.0339 0.0000
Se1 0.0000 0.6907 0.5344
F1 0.0000 0.1295 0.8470
F2 0.0000 0.8676 0.2171
F3 0.2179 0.6351 0.7389
```

No. 4
The following is a computed X-ray diffraction stick pattern of LuW6. It was derived from a crystal structure in Alexandria, relaxed with GGA-PBE, using a wavelength of 1.5418 Å.

Largest 10 diffraction maxima, by angle, 2θ = 5–70°:
d = 4.997 Å, I 239, hkl 1 1 0
d = 3.533 Å, I 422, hkl 2 0 0
d = 2.885 Å, I 1000, hkl 2 1 1
d = 2.498 Å, I 42, hkl 2 2 0
d = 2.235 Å, I 61, hkl 3 1 0
d = 2.040 Å, I 366, hkl 2 2 2
d = 1.889 Å, I 597, hkl 3 2 1
d = 1.767 Å, I 335, hkl 4 0 0
d = 1.580 Å, I 169, hkl 4 2 0
d = 1.507 Å, I 144, hkl 3 3 2

```
data_LuW6
_chemical_formula_sum 'Lu2 W12'
_symmetry_space_group_name_H-M 'I m -3 m'
_symmetry_Int_Tables_number 229
_symmetry_space_group_name_Hall '-I 4 2 3'
_cell_length_a 7.0666
_cell_length_b 7.0666
_cell_length_c 7.0666
_cell_angle_alpha 90.00
_cell_angle_beta 90.00
_cell_angle_gamma 90.00
loop_
_atom_site_label
_atom_site_fract_x
_atom_site_fract_y
_atom_site_fract_z
Lu1 0.0000 0.0000 0.0000
W1 0.0000 0.2500 0.5000
```

No. 5
The following is a computed X-ray diffraction stick pattern of NaTlPb2Cl8. It was derived from a crystal structure in Alexandria, relaxed with GGA-PBE, using a wavelength of 1.5418 Å.

Largest 10 diffraction maxima, by angle, 2θ = 5–70°:
d = 4.680 Å, I 949, hkl 1 0 -1
d = 4.636 Å, I 1000, hkl 1 0 1
d = 3.605 Å, I 564, hkl 0 2 1
d = 3.560 Å, I 894, hkl 1 2 0
d = 2.452 Å, I 364, hkl 1 2 -2
d = 2.440 Å, I 387, hkl 1 2 2
d = 2.410 Å, I 486, hkl 2 2 -1
d = 2.398 Å, I 556, hkl 2 2 1
d = 1.986 Å, I 413, hkl 0 2 3
d = 1.940 Å, I 389, hkl 1 4 1

```
data_NaTlPb2Cl8
_chemical_formula_sum 'Na1 Tl1 Pb2 Cl8'
_symmetry_space_group_name_H-M 'P 1 2/m 1'
_symmetry_Int_Tables_number 10
_cell_length_a 6.4521
_cell_length_b 8.5387
_cell_length_c 6.7318
_cell_angle_alpha 90.00
_cell_angle_beta 90.54
_cell_angle_gamma 90.00
loop_
_symmetry_equiv_pos_as_xyz
'x,y,z'
'-x,-y,-z'
'-x,y,-z'
'x,-y,z'
loop_
_atom_site_label
_atom_site_fract_x
_atom_site_fract_y
_atom_site_fract_z
Na1 0.0000 0.0000 0.0000
Tl1 0.0000 0.5000 0.0000
Pb1 0.5000 0.2473 0.5000
Cl1 0.2251 0.2690 0.1504
Cl2 0.2366 0.5000 0.6775
Cl3 0.2712 0.0000 0.6663
```

No. 6
The following is a computed X-ray diffraction stick pattern of CaGaAs2. It was derived from a crystal structure in Alexandria, relaxed with GGA-PBE, using a wavelength of 1.5418 Å.

Largest 10 diffraction maxima, by angle, 2θ = 5–70°:
d = 4.820 Å, I 640, hkl 1 0 -2
d = 3.507 Å, I 272, hkl 1 1 1
d = 3.217 Å, I 784, hkl 0 2 0
d = 2.951 Å, I 1000, hkl 2 0 -2
d = 2.562 Å, I 496, hkl 0 0 4
d = 2.550 Å, I 340, hkl 1 2 1
d = 2.256 Å, I 303, hkl 1 2 2
d = 2.175 Å, I 510, hkl 2 2 -2
d = 2.092 Å, I 414, hkl 2 0 2
d = 1.909 Å, I 303, hkl 1 3 1

```
data_CaGaAs2
_chemical_formula_sum 'Ca4 Ga4 As8'
_symmetry_space_group_name_H-M 'P 1 2/c 1'
_symmetry_Int_Tables_number 13
_cell_length_a 5.9660
_cell_length_b 6.4347
_cell_length_c 11.1770
_cell_angle_alpha 90.00
_cell_angle_beta 113.50
_cell_angle_gamma 90.00
loop_
_symmetry_equiv_pos_as_xyz
'x,y,z'
'-x,-y,-z'
'-x,y,-z+1/2'
'x,-y,z+1/2'
loop_
_atom_site_label
_atom_site_fract_x
_atom_site_fract_y
_atom_site_fract_z
Ca1 0.1602 0.2476 0.1274
Ga1 0.3169 0.3966 0.8816
As1 0.1164 0.2291 0.6681
As2 0.3774 0.2237 0.4215
```